Simulated PXRD pattern
Compound: Ho5Sb2PC
Radiation: Cu Kα, 1.54184 Å
Structure: a DFT-relaxed cell (PBE, Alexandria)

Structure:
abc: 4.577 4.577 10.799
angles: 90.00 90.00 90.00
Space group P4/mmm (No. 123)
Symmetry-distinct sites (fractional):
Ho 0.000 0.000 0.000 (multiplicity 1)
Ho 0.000 0.500 0.500 (multiplicity 2)
Ho 0.500 0.500 0.251 (multiplicity 2)
Sb 0.000 0.000 0.287 (multiplicity 2)
P 0.500 0.500 0.000 (multiplicity 1)
C 0.500 0.500 0.500 (multiplicity 1)

Principal peaks in the range 15° ≤ 2θ ≤ 90°, by angle:
2θ (°)  d/Å  I (rel.)  hkl
27.6  3.236  35  1 1 0
28.8  3.100  62  1 1 1
32.2  2.776  100  1 1 2
33.2  2.700  53  0 0 4
37.4  2.407  69  1 1 3
39.4  2.288  80  2 0 0
52.4  1.746  58  2 0 4
56.9  1.618  27  2 2 0
66.9  1.398  25  3 1 2
67.5  1.388  27  2 2 4